Computed powder diffraction line list of K2GdF5 for copper Kα, from a crystal structure in Alexandria, relaxed with GGA-PBE.

Top 8 peaks for 2θ from 10° to 80°, by angle:
2θ/deg, I (rel.), hkl
15.4, 100, 1 0 1
16.1, 51, 2 0 0
27.7, 63, 3 0 1
28.6, 80, 1 2 1
29.0, 48, 2 2 0
39.7, 38, 2 2 2
40.8, 29, 4 2 0
50.0, 30, 5 2 1

Structural model:
abc: 11.0011 7.4463 6.7208
angles: 90.00 90.00 90.00
Positions (direct):
K (0.1713, 0.0029, 0.0308)
K (0.1713, 0.4971, 0.0308)
K (0.3287, 0.5029, 0.5308)
K (0.3287, 0.9971, 0.5308)
K (0.6713, 0.0029, 0.4692)
K (0.6713, 0.4971, 0.4692)
K (0.8287, 0.5029, 0.9692)
K (0.8287, 0.9971, 0.9692)
Gd (0.0026, 0.2500, 0.5646)
Gd (0.4974, 0.7500, 0.0646)
Gd (0.5026, 0.2500, 0.9354)
Gd (0.9974, 0.7500, 0.4354)
F (0.0122, 0.2500, 0.8983)
F (0.0784, 0.5340, 0.6471)
F (0.0784, 0.9660, 0.6471)
F (0.1680, 0.2500, 0.3683)
F (0.1939, 0.7500, 0.3363)
F (0.3061, 0.2500, 0.8363)
F (0.3320, 0.7500, 0.8683)
F (0.4216, 0.0340, 0.1471)
F (0.4216, 0.4660, 0.1471)
F (0.4878, 0.7500, 0.3983)
F (0.5122, 0.2500, 0.6017)
F (0.5784, 0.5340, 0.8529)
F (0.5784, 0.9660, 0.8529)
F (0.6680, 0.2500, 0.1317)
F (0.6939, 0.7500, 0.1637)
F (0.8061, 0.2500, 0.6637)
F (0.8320, 0.7500, 0.6317)
F (0.9216, 0.0340, 0.3529)
F (0.9216, 0.4660, 0.3529)
F (0.9878, 0.7500, 0.1017)

Computed powder diffraction line list of Na2Gd2MgSi4O12F2 for copper Kα, from a crystal structure in Alexandria, relaxed with GGA-PBE.

Top 8 peaks for 2θ from 10° to 80°, by angle:
2θ/deg, I (rel.), hkl
12.2, 100, 0 0 2
16.9, 64, 1 0 0
21.0, 71, 1 0 2
23.4, 38, 0 2 0
24.0, 39, 1 1 -2
31.6, 85, 1 2 2
32.3, 81, 1 1 -4
42.9, 26, 1 1 -6

Structural model:
abc: 5.2293 7.6037 14.4853
angles: 90.00 90.08 90.00
Positions (direct):
Na (0.9999, 0.0370, 0.2123)
Na (0.9999, 0.4630, 0.7123)
Na (0.0001, 0.5370, 0.2877)
Na (0.0001, 0.9630, 0.7877)
Gd (0.0178, 0.2285, 0.4582)
Gd (0.0178, 0.2715, 0.9582)
Gd (0.9822, 0.7285, 0.0418)
Gd (0.9822, 0.7715, 0.5418)
Mg (0.5000, 0.0000, 0.0000)
Mg (0.5000, 0.5000, 0.5000)
Si (0.4617, 0.6296, 0.8847)
Si (0.4617, 0.8704, 0.3847)
Si (0.4753, 0.7385, 0.1852)
Si (0.4753, 0.7615, 0.6852)
Si (0.5247, 0.2385, 0.3148)
Si (0.5247, 0.2615, 0.8148)
Si (0.5383, 0.1296, 0.6153)
Si (0.5383, 0.3704, 0.1153)
O (0.2125, 0.5579, 0.9415)
O (0.2125, 0.9421, 0.4415)
O (0.2157, 0.2415, 0.3150)
O (0.2157, 0.2585, 0.8150)
O (0.3319, 0.6300, 0.6132)
O (0.3319, 0.8700, 0.1132)
O (0.3532, 0.7285, 0.7895)
O (0.3532, 0.7715, 0.2895)
O (0.3614, 0.2380, 0.0546)
O (0.3614, 0.2620, 0.5546)
O (0.3612, 0.5390, 0.1542)
O (0.3612, 0.9610, 0.6542)
O (0.6388, 0.0390, 0.3458)
O (0.6388, 0.4610, 0.8458)
O (0.6386, 0.7380, 0.4454)
O (0.6386, 0.7620, 0.9454)
O (0.6468, 0.2285, 0.7105)
O (0.6468, 0.2715, 0.2105)
O (0.6681, 0.1300, 0.8868)
O (0.6681, 0.3700, 0.3868)
O (0.7843, 0.7415, 0.1850)
O (0.7843, 0.7585, 0.6850)
O (0.7875, 0.0579, 0.5585)
O (0.7875, 0.4421, 0.0585)
F (0.1635, 0.5376, 0.4383)
F (0.1635, 0.9624, 0.9383)
F (0.8365, 0.0376, 0.0617)
F (0.8365, 0.4624, 0.5617)